# 1
For CeGdY, a structure optimized by DFT (PBE) gives the simulated PXRD pattern in this record (Cu Kα).
No peak broadening, texture or thermal motion is included.

Cell and atoms:
```
CeGdY
1.0
-1.773 1.773 7.468
1.773 -1.773 7.468
1.773 1.773 -7.468
Ce Gd Y
1 1 1
Direct
0.000 0.000 0.000
0.659 0.659 0.000
0.337 0.337 0.000
```

Top 10 peaks for 10° ≤ 2θ ≤ 90°, sorted by position:
| d/Å | 2θ (°) | Rel. int. |
| --- | --- | --- |
| 7.468 | 11.85 | 7 |
| 2.888 | 30.97 | 100 |
| 2.507 | 35.82 | 34 |
| 2.489 | 36.08 | 16 |
| 1.773 | 51.56 | 12 |
| 1.766 | 51.76 | 23 |
| 1.511 | 61.37 | 28 |
| 1.503 | 61.72 | 13 |
| 1.444 | 64.54 | 12 |
| 1.146 | 84.52 | 11 |

***

# 2
For V3Tc3Mo, a structure optimized by DFT (PBE) gives the simulated PXRD pattern in this record (Cu Kα).
No peak broadening, texture or thermal motion is included.

Cell and atoms:
```
V3Tc3Mo
1.0
4.115 -4.317 0.000
4.115 4.317 0.000
0.000 0.000 5.899
V Tc Mo
6 6 2
Direct
0.000 0.000 0.245
0.000 0.000 0.755
0.000 0.500 0.247
0.000 0.500 0.753
0.500 0.000 0.247
0.500 0.000 0.753
0.231 0.769 0.500
0.246 0.246 0.000
0.268 0.732 0.000
0.732 0.268 0.000
0.754 0.754 0.000
0.769 0.231 0.500
0.314 0.314 0.500
0.686 0.686 0.500
```

Top 10 peaks for 10° ≤ 2θ ≤ 90°, sorted by position:
| d/Å | 2θ (°) | Rel. int. |
| --- | --- | --- |
| 2.978 | 30.00 | 24 |
| 2.949 | 30.30 | 16 |
| 2.158 | 41.85 | 29 |
| 2.096 | 43.17 | 100 |
| 2.057 | 44.01 | 18 |
| 1.489 | 62.35 | 11 |
| 1.475 | 63.03 | 9 |
| 1.234 | 77.34 | 14 |
| 1.218 | 78.56 | 8 |
| 1.195 | 80.35 | 10 |

***

# 3
For Ce2DyTe3, a structure optimized by DFT (PBE) gives the simulated PXRD pattern in this record (Cu Kα).
No peak broadening, texture or thermal motion is included.

Cell and atoms:
```
Ce2DyTe3
1.0
0.000 6.281 13.277
4.462 0.000 13.277
4.462 6.281 0.000
Ce Dy Te
8 4 12
Direct
0.043 0.043 0.207
0.124 0.124 0.626
0.207 0.207 0.043
0.374 0.374 0.876
0.626 0.626 0.124
0.793 0.793 0.957
0.876 0.876 0.374
0.957 0.957 0.793
0.292 0.292 0.458
0.458 0.458 0.292
0.542 0.542 0.708
0.708 0.708 0.542
0.039 0.541 0.218
0.135 0.615 0.615
0.218 0.702 0.039
0.298 0.782 0.459
0.385 0.865 0.865
0.459 0.961 0.298
0.541 0.039 0.702
0.615 0.135 0.135
0.702 0.218 0.541
0.782 0.298 0.961
0.865 0.385 0.385
0.961 0.459 0.782
```

Top 10 peaks for 10° ≤ 2θ ≤ 90°, sorted by position:
| d/Å | 2θ (°) | Rel. int. |
| --- | --- | --- |
| 3.142 | 28.41 | 100 |
| 2.231 | 40.43 | 13 |
| 2.221 | 40.61 | 51 |
| 2.213 | 40.78 | 13 |
| 1.819 | 50.16 | 14 |
| 1.809 | 50.45 | 13 |
| 1.571 | 58.78 | 13 |
| 1.405 | 66.56 | 23 |
| 1.286 | 73.65 | 8 |
| 1.280 | 74.09 | 13 |

***

# 4
For BaZnGaPt2, a structure optimized by DFT (PBE) gives the simulated PXRD pattern in this record (Cu Kα).
No peak broadening, texture or thermal motion is included.

Cell and atoms:
```
BaZnGaPt2
1.0
-2.228 2.228 5.475
2.228 -2.228 5.475
2.228 2.228 -5.475
Ba Zn Ga Pt
1 1 1 2
Direct
0.000 0.000 0.000
0.750 0.250 0.500
0.250 0.750 0.500
0.373 0.373 0.000
0.627 0.627 0.000
```

Top 10 peaks for 10° ≤ 2θ ≤ 90°, sorted by position:
| d/Å | 2θ (°) | Rel. int. |
| --- | --- | --- |
| 4.128 | 21.53 | 27 |
| 3.151 | 28.32 | 53 |
| 2.824 | 31.69 | 100 |
| 2.731 | 32.79 | 40 |
| 2.228 | 40.48 | 66 |
| 2.067 | 43.81 | 38 |
| 1.965 | 46.19 | 30 |
| 1.749 | 52.30 | 49 |
| 1.576 | 58.59 | 22 |
| 1.474 | 63.06 | 27 |

***

# 5
For Ca5ScAu6, a structure optimized by DFT (PBE) gives the simulated PXRD pattern in this record (Cu Kα).
No peak broadening, texture or thermal motion is included.

Cell and atoms:
```
Ca5ScAu6
1.0
5.052 0.000 0.000
0.000 7.214 0.000
-2.492 0.000 7.663
Ca Sc Au
5 1 6
Direct
0.000 0.000 0.000
0.330 0.500 0.661
0.333 0.000 0.666
0.667 0.000 0.334
0.670 0.500 0.339
0.000 0.500 0.000
0.156 0.261 0.311
0.156 0.739 0.311
0.500 0.277 0.000
0.500 0.723 0.000
0.844 0.261 0.689
0.844 0.739 0.689
```

Top 10 peaks for 10° ≤ 2θ ≤ 90°, sorted by position:
| d/Å | 2θ (°) | Rel. int. |
| --- | --- | --- |
| 3.604 | 24.70 | 68 |
| 3.584 | 24.84 | 34 |
| 2.550 | 35.19 | 100 |
| 2.543 | 35.30 | 67 |
| 2.526 | 35.54 | 35 |
| 2.085 | 43.41 | 14 |
| 2.069 | 43.75 | 16 |
| 1.611 | 57.16 | 21 |
| 1.474 | 63.07 | 20 |
| 1.464 | 63.56 | 12 |

***

# 6
For Tb2Nd2HoEr2, a structure optimized by DFT (PBE) gives the simulated PXRD pattern in this record (Cu Kα).
No peak broadening, texture or thermal motion is included.

Cell and atoms:
```
Tb2Nd2HoEr2
1.0
5.855 -1.759 0.000
5.855 1.759 0.000
-3.945 0.000 11.166
Tb Nd Ho Er
2 2 1 2
Direct
0.051 0.051 0.268
0.949 0.949 0.732
0.170 0.170 0.585
0.830 0.830 0.415
0.500 0.500 0.000
0.274 0.274 0.135
0.726 0.726 0.865
```

Top 10 peaks for 10° ≤ 2θ ≤ 90°, sorted by position:
| d/Å | 2θ (°) | Rel. int. |
| --- | --- | --- |
| 3.125 | 28.56 | 35 |
| 2.914 | 30.68 | 100 |
| 2.755 | 32.51 | 70 |
| 2.698 | 33.21 | 35 |
| 2.546 | 35.25 | 48 |
| 2.370 | 37.97 | 21 |
| 1.765 | 51.78 | 24 |
| 1.702 | 53.88 | 17 |
| 1.514 | 61.21 | 15 |
| 1.506 | 61.59 | 42 |